1.
For BeTcAs, a crystal structure in Alexandria, relaxed with PBE gives the theoretical powder X-ray diffraction pattern in this record (a wavelength of 1.5418 Å).

The 6 most intense peaks (2θ from 15° to 90°), by intensity:
2θ = 42.10°, d 2.147, I 100, hkl 3 1 -1
2θ = 31.39°, d 2.850, I 59, hkl 1 1 -1
2θ = 39.71°, d 2.270, I 56, hkl 1 1 -2
2θ = 51.98°, d 1.759, I 49, hkl 4 0 -3
2θ = 22.22°, d 4.001, I 44, hkl 2 0 0
2θ = 30.34°, d 2.946, I 42, hkl 0 0 2

Cell and atoms:
```
data_BeTcAs
_chemical_formula_sum 'Be4 Tc4 As4'
_cell_length_a 8.5925
_cell_length_b 3.2596
_cell_length_c 6.3259
_cell_angle_alpha 90.00
_cell_angle_beta 111.35
_cell_angle_gamma 90.00
_symmetry_space_group_name_H-M 'C 1 2/m 1'
_symmetry_Int_Tables_number 12
loop_
_symmetry_equiv_pos_as_xyz
'x,y,z'
'-x,-y,-z'
'-x,y,-z'
'x,-y,z'
'x+1/2,y+1/2,z'
'-x+1/2,-y+1/2,-z'
'-x+1/2,y+1/2,-z'
'x+1/2,-y+1/2,z'
loop_
_atom_site_label
_atom_site_fract_x
_atom_site_fract_y
_atom_site_fract_z
Be1 0.0455 0.0000 0.3691
Tc1 0.2250 0.5000 0.2944
As1 0.1072 0.5000 0.8554
```



2.
For BeTc2As, a crystal structure in Alexandria, relaxed with PBE gives the theoretical powder X-ray diffraction pattern in this record (a wavelength of 1.5418 Å).

The 6 most intense peaks (2θ from 15° to 90°), by intensity:
2θ = 43.83°, d 2.065, I 100, hkl 1 0 2
2θ = 41.94°, d 2.154, I 63, hkl 1 1 0
2θ = 33.46°, d 2.678, I 49, hkl 1 0 1
2θ = 77.93°, d 1.226, I 35, hkl 2 1 2
2θ = 60.81°, d 1.523, I 21, hkl 2 0 0
2θ = 15.77°, d 5.620, I 18, hkl 0 0 1

Cell and atoms:
```
data_BeTc2As
_chemical_formula_sum 'Be1 Tc2 As1'
_cell_length_a 3.0465
_cell_length_b 3.0465
_cell_length_c 5.6196
_cell_angle_alpha 90.00
_cell_angle_beta 90.00
_cell_angle_gamma 90.00
_symmetry_space_group_name_H-M 'P 4 m m'
_symmetry_Int_Tables_number 99
loop_
_symmetry_equiv_pos_as_xyz
'x,y,z'
'-y,x,z'
'-x,-y,z'
'y,-x,z'
'-x,y,z'
'y,x,z'
'x,-y,z'
'-y,-x,z'
loop_
_atom_site_label
_atom_site_fract_x
_atom_site_fract_y
_atom_site_fract_z
Be1 0.0000 0.0000 0.0000
Tc1 0.0000 0.0000 0.5006
Tc2 0.5000 0.5000 0.1975
As1 0.5000 0.5000 0.7514
```



3.
For BeTeAs4, a crystal structure in Alexandria, relaxed with PBE gives the theoretical powder X-ray diffraction pattern in this record (a wavelength of 1.5418 Å).

The 6 most intense peaks (2θ from 15° to 90°), by intensity:
2θ = 37.51°, d 2.398, I 100, hkl 3 1 1
2θ = 39.24°, d 2.296, I 48, hkl 2 2 2
2θ = 60.49°, d 1.530, I 34, hkl 5 1 1
2θ = 66.51°, d 1.406, I 26, hkl 4 4 0
2θ = 19.33°, d 4.591, I 25, hkl 1 1 1
2θ = 22.36°, d 3.976, I 25, hkl 2 0 0

Cell and atoms:
```
data_BeTeAs4
_chemical_formula_sum 'Be4 Te4 As16'
_cell_length_a 7.9525
_cell_length_b 7.9525
_cell_length_c 7.9525
_cell_angle_alpha 90.00
_cell_angle_beta 90.00
_cell_angle_gamma 90.00
_symmetry_space_group_name_H-M 'F -4 3 m'
_symmetry_Int_Tables_number 216
_symmetry_space_group_name_Hall 'F -4 2 3'
loop_
_atom_site_label
_atom_site_fract_x
_atom_site_fract_y
_atom_site_fract_z
Be1 0.0000 0.0000 0.0000
Te1 0.2500 0.2500 0.7500
As1 0.1286 0.1286 0.3714
```



4.
For Be6TlAs4, a crystal structure in Alexandria, relaxed with PBE gives the theoretical powder X-ray diffraction pattern in this record (a wavelength of 1.5418 Å).

The 6 most intense peaks (2θ from 15° to 90°), by intensity:
2θ = 29.50°, d 3.028, I 100, hkl 1 1 5
2θ = 33.99°, d 2.638, I 26, hkl 0 0 10
2θ = 32.28°, d 2.773, I 18, hkl 0 2 0
2θ = 55.86°, d 1.646, I 17, hkl 1 3 5
2θ = 49.28°, d 1.849, I 15, hkl 2 2 0
2θ = 36.20°, d 2.482, I 13, hkl 2 0 0

Cell and atoms:
```
data_Be6TlAs4
_chemical_formula_sum 'Be24 Tl4 As16'
_cell_length_a 4.9635
_cell_length_b 5.5457
_cell_length_c 26.3637
_cell_angle_alpha 90.00
_cell_angle_beta 90.00
_cell_angle_gamma 90.00
_symmetry_space_group_name_H-M 'F m m m'
_symmetry_Int_Tables_number 69
_symmetry_space_group_name_Hall '-F 2 2'
loop_
_atom_site_label
_atom_site_fract_x
_atom_site_fract_y
_atom_site_fract_z
Be1 0.2500 0.2500 0.1337
Be2 0.2500 0.2500 0.2500
Tl1 0.0000 0.0000 0.0000
As1 0.0000 0.0000 0.1962
As2 0.0000 0.0000 0.4134
```



5.
For UBeAs, a crystal structure in Alexandria, relaxed with PBE gives the theoretical powder X-ray diffraction pattern in this record (a wavelength of 1.5418 Å).

The 6 most intense peaks (2θ from 15° to 90°), by intensity:
2θ = 34.72°, d 2.584, I 100, hkl 1 0 1
2θ = 27.20°, d 3.278, I 46, hkl 1 0 0
2θ = 48.08°, d 1.893, I 26, hkl 1 1 0
2θ = 60.65°, d 1.527, I 21, hkl 2 0 1
2θ = 66.52°, d 1.406, I 20, hkl 1 1 2
2θ = 80.90°, d 1.188, I 19, hkl 2 1 1

Cell and atoms:
```
data_UBeAs
_chemical_formula_sum 'U1 Be1 As1'
_cell_length_a 3.7851
_cell_length_b 3.7851
_cell_length_c 4.1980
_cell_angle_alpha 90.00
_cell_angle_beta 90.00
_cell_angle_gamma 120.00
_symmetry_space_group_name_H-M 'P -6 m 2'
_symmetry_Int_Tables_number 187
_symmetry_space_group_name_Hall 'P -6 2'
loop_
_atom_site_label
_atom_site_fract_x
_atom_site_fract_y
_atom_site_fract_z
U1 0.0000 0.0000 0.0000
Be1 0.6667 0.3333 0.5000
As1 0.3333 0.6667 0.5000
```



6.
For BeV3As2, a crystal structure in Alexandria, relaxed with PBE gives the theoretical powder X-ray diffraction pattern in this record (a wavelength of 1.5418 Å).

The 6 most intense peaks (2θ from 15° to 90°), by intensity:
2θ = 38.10°, d 2.362, I 100, hkl 0 1 3
2θ = 33.33°, d 2.689, I 89, hkl 1 1 2
2θ = 47.11°, d 1.929, I 69, hkl 4 1 1
2θ = 37.15°, d 2.420, I 68, hkl 2 1 2
2θ = 41.70°, d 2.166, I 55, hkl 4 0 2
2θ = 53.95°, d 1.700, I 47, hkl 0 2 0

Cell and atoms:
```
data_BeV3As2
_chemical_formula_sum 'Be4 V12 As8'
_cell_length_a 9.6465
_cell_length_b 3.3993
_cell_length_c 9.8546
_cell_angle_alpha 90.00
_cell_angle_beta 90.00
_cell_angle_gamma 90.00
_symmetry_space_group_name_H-M 'P n m a'
_symmetry_Int_Tables_number 62
loop_
_symmetry_equiv_pos_as_xyz
'x,y,z'
'-x,-y,-z'
'-x+1/2,-y,z+1/2'
'x+1/2,y,-z+1/2'
'x+1/2,-y+1/2,-z+1/2'
'-x+1/2,y+1/2,z+1/2'
'-x,y+1/2,-z'
'x,-y+1/2,z'
loop_
_atom_site_label
_atom_site_fract_x
_atom_site_fract_y
_atom_site_fract_z
Be1 0.1179 0.2500 0.1325
V1 0.0645 0.2500 0.3716
V2 0.1338 0.7500 0.9632
V3 0.2422 0.7500 0.2564
As1 0.0116 0.2500 0.8114
As2 0.1797 0.7500 0.5277
```



7.
For YBe8As6, a crystal structure in Alexandria, relaxed with PBE gives the theoretical powder X-ray diffraction pattern in this record (a wavelength of 1.5418 Å).

The 6 most intense peaks (2θ from 15° to 90°), by intensity:
2θ = 29.27°, d 3.051, I 100, hkl 0 0 4
2θ = 30.57°, d 2.924, I 98, hkl 1 1 2
2θ = 34.38°, d 2.609, I 86, hkl 2 0 2
2θ = 26.76°, d 3.332, I 72, hkl 1 1 0
2θ = 47.26°, d 1.923, I 70, hkl 3 0 0
2θ = 40.07°, d 2.250, I 65, hkl 1 1 4

Cell and atoms:
```
data_YBe8As6
_chemical_formula_sum 'Y2 Be16 As12'
_cell_length_a 6.6638
_cell_length_b 6.6638
_cell_length_c 12.2053
_cell_angle_alpha 90.00
_cell_angle_beta 90.00
_cell_angle_gamma 120.00
_symmetry_space_group_name_H-M 'P 63 c m'
_symmetry_Int_Tables_number 185
_symmetry_space_group_name_Hall 'P 6c -2'
loop_
_atom_site_label
_atom_site_fract_x
_atom_site_fract_y
_atom_site_fract_z
Y1 0.0000 0.0000 0.0000
Be1 0.0000 0.3591 0.1623
Be2 0.0000 0.3728 0.3412
Be3 0.3333 0.6667 0.4344
As1 0.0000 0.0000 0.2488
As2 0.0000 0.4189 0.5191
As3 0.3333 0.6667 0.2475
```



8.
For BiAs6, a crystal structure in Alexandria, relaxed with PBE gives the theoretical powder X-ray diffraction pattern in this record (a wavelength of 1.5418 Å).

The 6 most intense peaks (2θ from 15° to 90°), by intensity:
2θ = 30.01°, d 2.978, I 100, hkl 2 1 1
2θ = 46.59°, d 1.950, I 60, hkl 3 2 1
2θ = 24.41°, d 3.647, I 42, hkl 2 0 0
2θ = 50.02°, d 1.824, I 21, hkl 4 0 0
2θ = 81.31°, d 1.183, I 18, hkl 6 1 1
2θ = 70.74°, d 1.332, I 18, hkl 5 2 1

Cell and atoms:
```
data_BiAs6
_chemical_formula_sum 'Bi2 As12'
_cell_length_a 7.2945
_cell_length_b 7.2945
_cell_length_c 7.2945
_cell_angle_alpha 90.00
_cell_angle_beta 90.00
_cell_angle_gamma 90.00
_symmetry_space_group_name_H-M 'I m -3 m'
_symmetry_Int_Tables_number 229
_symmetry_space_group_name_Hall '-I 4 2 3'
loop_
_atom_site_label
_atom_site_fract_x
_atom_site_fract_y
_atom_site_fract_z
Bi1 0.0000 0.0000 0.0000
As1 0.0000 0.2500 0.5000
```



9.
For BiAs2, a crystal structure in Alexandria, relaxed with PBE gives the theoretical powder X-ray diffraction pattern in this record (a wavelength of 1.5418 Å).

The 6 most intense peaks (2θ from 15° to 90°), by intensity:
2θ = 31.63°, d 2.829, I 100, hkl 0 2 0
2θ = 16.60°, d 5.340, I 89, hkl 0 0 1
2θ = 33.50°, d 2.675, I 57, hkl 1 1 1
2θ = 33.90°, d 2.644, I 57, hkl 1 1 -2
2θ = 45.34°, d 2.000, I 37, hkl 2 2 -1
2θ = 48.05°, d 1.894, I 29, hkl 1 1 2

Cell and atoms:
```
data_BiAs2
_chemical_formula_sum 'Bi2 As4'
_cell_length_a 5.6573
_cell_length_b 5.6590
_cell_length_c 6.0022
_cell_angle_alpha 90.00
_cell_angle_beta 117.16
_cell_angle_gamma 90.00
_symmetry_space_group_name_H-M 'C 1 2/m 1'
_symmetry_Int_Tables_number 12
loop_
_symmetry_equiv_pos_as_xyz
'x,y,z'
'-x,-y,-z'
'-x,y,-z'
'x,-y,z'
'x+1/2,y+1/2,z'
'-x+1/2,-y+1/2,-z'
'-x+1/2,y+1/2,-z'
'x+1/2,-y+1/2,z'
loop_
_atom_site_label
_atom_site_fract_x
_atom_site_fract_y
_atom_site_fract_z
Bi1 0.0000 0.0000 0.0000
As1 0.1122 0.5000 0.2318
```



10.
For BiAsBr3, a crystal structure in Alexandria, relaxed with PBE gives the theoretical powder X-ray diffraction pattern in this record (a wavelength of 1.5418 Å).

The 6 most intense peaks (2θ from 15° to 90°), by intensity:
2θ = 33.12°, d 2.705, I 100, hkl 2 0 0
2θ = 28.58°, d 3.123, I 98, hkl 1 1 1
2θ = 47.54°, d 1.913, I 72, hkl 2 2 0
2θ = 23.25°, d 3.825, I 69, hkl 1 1 0
2θ = 56.41°, d 1.631, I 44, hkl 3 1 1
2θ = 40.86°, d 2.209, I 33, hkl 2 1 1

Cell and atoms:
```
data_BiAsBr3
_chemical_formula_sum 'Bi1 As1 Br3'
_cell_length_a 5.4098
_cell_length_b 5.4098
_cell_length_c 5.4098
_cell_angle_alpha 90.00
_cell_angle_beta 90.00
_cell_angle_gamma 90.00
_symmetry_space_group_name_H-M 'P m -3 m'
_symmetry_Int_Tables_number 221
_symmetry_space_group_name_Hall '-P 4 2 3'
loop_
_atom_site_label
_atom_site_fract_x
_atom_site_fract_y
_atom_site_fract_z
Bi1 0.0000 0.0000 0.0000
As1 0.5000 0.5000 0.5000
Br1 0.0000 0.5000 0.5000
```



11.
For BiAsHBr2, a crystal structure in Alexandria, relaxed with PBE gives the theoretical powder X-ray diffraction pattern in this record (a wavelength of 1.5418 Å).

The 6 most intense peaks (2θ from 15° to 90°), by intensity:
2θ = 15.27°, d 5.804, I 100, hkl 0 0 1
2θ = 34.56°, d 2.596, I 56, hkl 2 0 1
2θ = 30.81°, d 2.902, I 47, hkl 2 0 0
2θ = 44.14°, d 2.052, I 35, hkl 2 2 0
2θ = 46.97°, d 1.935, I 30, hkl 2 2 1
2θ = 66.42°, d 1.408, I 17, hkl 4 0 1

Cell and atoms:
```
data_BiAsHBr2
_chemical_formula_sum 'Bi1 As1 H1 Br2'
_cell_length_a 5.8039
_cell_length_b 5.8039
_cell_length_c 5.8034
_cell_angle_alpha 90.00
_cell_angle_beta 90.00
_cell_angle_gamma 90.00
_symmetry_space_group_name_H-M 'P 4/m m m'
_symmetry_Int_Tables_number 123
_symmetry_space_group_name_Hall '-P 4 2'
loop_
_atom_site_label
_atom_site_fract_x
_atom_site_fract_y
_atom_site_fract_z
Bi1 0.0000 0.0000 0.0000
As1 0.0000 0.0000 0.5000
H1 0.5000 0.5000 0.5000
Br1 0.0000 0.5000 0.0000
```



12.
For NaBiAs2Br, a crystal structure in Alexandria, relaxed with PBE gives the theoretical powder X-ray diffraction pattern in this record (a wavelength of 1.5418 Å).

The 6 most intense peaks (2θ from 15° to 90°), by intensity:
2θ = 16.12°, d 5.499, I 100, hkl 1 0 0
2θ = 32.57°, d 2.749, I 58, hkl 2 0 0
2θ = 44.44°, d 2.039, I 49, hkl 2 0 2
2θ = 29.40°, d 3.038, I 38, hkl 0 0 2
2θ = 33.70°, d 2.659, I 34, hkl 1 0 2
2θ = 21.80°, d 4.077, I 31, hkl 1 0 1

Cell and atoms:
```
data_NaBiAs2Br
_chemical_formula_sum 'Na1 Bi1 As2 Br1'
_cell_length_a 5.4985
_cell_length_b 5.4985
_cell_length_c 6.0762
_cell_angle_alpha 90.00
_cell_angle_beta 90.00
_cell_angle_gamma 90.00
_symmetry_space_group_name_H-M 'P 4/m m m'
_symmetry_Int_Tables_number 123
_symmetry_space_group_name_Hall '-P 4 2'
loop_
_atom_site_label
_atom_site_fract_x
_atom_site_fract_y
_atom_site_fract_z
Na1 0.0000 0.0000 0.0000
Bi1 0.5000 0.5000 0.5000
As1 0.0000 0.5000 0.5000
Br1 0.5000 0.5000 0.0000
```



13.
For Sr4BiAsBr2, a crystal structure in Alexandria, relaxed with PBE gives the theoretical powder X-ray diffraction pattern in this record (a wavelength of 1.5418 Å).

The 6 most intense peaks (2θ from 15° to 90°), by intensity:
2θ = 26.96°, d 3.307, I 100, hkl 1 1 1
2θ = 38.80°, d 2.321, I 52, hkl 2 0 2
2θ = 26.85°, d 3.321, I 50, hkl 2 0 -2
2θ = 38.02°, d 2.367, I 40, hkl 1 1 -3
2θ = 47.30°, d 1.922, I 21, hkl 2 2 -2
2θ = 38.19°, d 2.357, I 20, hkl 0 2 0

Cell and atoms:
```
data_Sr4BiAsBr2
_chemical_formula_sum 'Sr4 Bi1 As1 Br2'
_cell_length_a 8.0006
_cell_length_b 4.7132
_cell_length_c 8.2094
_cell_angle_alpha 90.00
_cell_angle_beta 110.11
_cell_angle_gamma 90.00
_symmetry_space_group_name_H-M 'P 1 2/m 1'
_symmetry_Int_Tables_number 10
loop_
_symmetry_equiv_pos_as_xyz
'x,y,z'
'-x,-y,-z'
'-x,y,-z'
'x,-y,z'
loop_
_atom_site_label
_atom_site_fract_x
_atom_site_fract_y
_atom_site_fract_z
Sr1 0.2171 0.0000 0.2283
Sr2 0.2217 0.5000 0.7551
Bi1 0.0000 0.0000 0.5000
As1 0.0000 0.5000 0.0000
Br1 0.5000 0.0000 0.0000
Br2 0.5000 0.5000 0.5000
```